1.
Starting from DFT lattice parameters and positions (PBE), the X-ray powder pattern of Ta4PtC was computed for Cu Kα, 1.54184 Å.

Principal peaks in the range 10 to 90 degrees two-theta, in order of rising 2θ:
hkl, d/Å, I (rel.)
2 1 0, 2.834, 61
1 0 -2, 2.569, 84
0 2 1, 2.502, 48
2 1 1, 2.402, 100
1 2 -1, 2.381, 78
3 1 -1, 1.974, 61

```
data_Ta4PtC
_symmetry_space_group_name_H-M 'P 1 21/c 1'
_symmetry_Int_Tables_number 14
_symmetry_space_group_name_Hall '-P 2ybc'
_cell_length_a 6.588
_cell_length_b 5.673
_cell_length_c 5.351
_cell_angle_alpha 90.00
_cell_angle_beta 96.70
_cell_angle_gamma 90.00
loop_
_atom_site_label
_atom_site_fract_x
_atom_site_fract_y
_atom_site_fract_z
_atom_site_occupancy
Ta1 0.106 0.140 0.361 1
Ta2 0.296 0.607 0.421 1
Pt1 0.500 0.000 0.500 1
C1 0.000 0.000 0.000 1
```

2.
Starting from DFT lattice parameters and positions (PBE), the X-ray powder pattern of Tb6Pt2C was computed for Cu Kα, 1.54184 Å.

Principal peaks in the range 10 to 90 degrees two-theta, in order of rising 2θ:
hkl, d/Å, I (rel.)
2 1 -2, 2.986, 31
0 2 2, 2.865, 100
2 1 -3, 2.829, 35
1 2 1, 2.643, 47
0 2 3, 2.382, 27
0 0 6, 1.601, 26

```
data_Tb6Pt2C
_symmetry_space_group_name_H-M 'P 1 21/c 1'
_symmetry_Int_Tables_number 14
_symmetry_space_group_name_Hall '-P 2ybc'
_cell_length_a 6.573
_cell_length_b 7.127
_cell_length_c 11.496
_cell_angle_alpha 90.00
_cell_angle_beta 123.27
_cell_angle_gamma 90.00
loop_
_atom_site_label
_atom_site_fract_x
_atom_site_fract_y
_atom_site_fract_z
_atom_site_occupancy
Tb1 0.125 0.036 0.242 1
Tb2 0.236 0.699 0.059 1
Tb3 0.364 0.178 0.057 1
Pt1 0.294 0.092 0.754 1
C1 0.000 0.000 0.000 1
```

3.
Starting from DFT lattice parameters and positions (PBE), the X-ray powder pattern of Ti4Pt2C was computed for Cu Kα, 1.54184 Å.

Principal peaks in the range 10 to 90 degrees two-theta, in order of rising 2θ:
hkl, d/Å, I (rel.)
1 1 0, 5.701, 100
0 0 1, 3.089, 64
1 3 0, 2.972, 65
1 1 1, 2.716, 70
2 1 1, 2.253, 67
1 3 1, 2.142, 89

```
data_Ti4Pt2C
_symmetry_space_group_name_H-M 'P b a m'
_symmetry_Int_Tables_number 55
_symmetry_space_group_name_Hall '-P 2 2ab'
_cell_length_a 6.991
_cell_length_b 9.852
_cell_length_c 3.089
_cell_angle_alpha 90.00
_cell_angle_beta 90.00
_cell_angle_gamma 90.00
loop_
_atom_site_label
_atom_site_fract_x
_atom_site_fract_y
_atom_site_fract_z
_atom_site_occupancy
Ti1 0.143 0.189 0.000 1
Ti2 0.181 0.935 0.500 1
Pt1 0.053 0.637 0.500 1
C1 0.000 0.000 0.000 1
```

4.
Starting from DFT lattice parameters and positions (PBE), the X-ray powder pattern of Ti6PtC4 was computed for Cu Kα, 1.54184 Å.

Principal peaks in the range 10 to 90 degrees two-theta, in order of rising 2θ:
hkl, d/Å, I (rel.)
0 0 2, 8.259, 92
0 2 1, 4.958, 60
1 1 1, 2.929, 35
0 2 6, 2.433, 49
1 1 4, 2.415, 60
1 3 2, 2.227, 100

```
data_Ti6PtC4
_symmetry_space_group_name_H-M 'C m c m'
_symmetry_Int_Tables_number 63
_symmetry_space_group_name_Hall '-C 2c 2'
_cell_length_a 3.107
_cell_length_b 10.394
_cell_length_c 16.518
_cell_angle_alpha 90.00
_cell_angle_beta 90.00
_cell_angle_gamma 90.00
loop_
_atom_site_label
_atom_site_fract_x
_atom_site_fract_y
_atom_site_fract_z
_atom_site_occupancy
Ti1 0.000 0.000 0.000 1
Ti2 0.000 0.147 0.250 1
Ti3 0.000 0.275 0.577 1
Ti4 0.000 0.462 0.147 1
Pt1 0.000 0.163 0.750 1
C1 0.000 0.092 0.121 1
C2 0.000 0.361 0.039 1
```

5.
Starting from DFT lattice parameters and positions (PBE), the X-ray powder pattern of Y4Pt2C was computed for Cu Kα, 1.54184 Å.

Principal peaks in the range 10 to 90 degrees two-theta, in order of rising 2θ:
hkl, d/Å, I (rel.)
1 0 1, 4.527, 24
1 1 0, 3.374, 46
1 1 2, 3.054, 36
1 1 4, 2.463, 100
2 0 0, 2.384, 54
3 1 4, 1.391, 30

```
data_Y4Pt2C
_symmetry_space_group_name_H-M 'I 4/m m m'
_symmetry_Int_Tables_number 139
_symmetry_space_group_name_Hall '-I 4 2'
_cell_length_a 4.769
_cell_length_b 4.769
_cell_length_c 14.406
_cell_angle_alpha 90.00
_cell_angle_beta 90.00
_cell_angle_gamma 90.00
loop_
_atom_site_label
_atom_site_fract_x
_atom_site_fract_y
_atom_site_fract_z
_atom_site_occupancy
Y1 0.000 0.000 0.173 1
Y2 0.000 0.500 0.000 1
Pt1 0.000 0.000 0.368 1
C1 0.000 0.000 0.000 1
```

6.
Starting from DFT lattice parameters and positions (PBE), the X-ray powder pattern of PuTh2ReC4 was computed for Cu Kα, 1.54184 Å.

Principal peaks in the range 10 to 90 degrees two-theta, in order of rising 2θ:
hkl, d/Å, I (rel.)
0 2 3, 3.504, 32
0 0 4, 3.204, 46
0 4 0, 3.061, 45
1 1 2, 3.032, 100
1 3 1, 2.636, 25
1 3 2, 2.484, 78

```
data_PuTh2ReC4
_symmetry_space_group_name_H-M 'C m c m'
_symmetry_Int_Tables_number 63
_symmetry_space_group_name_Hall '-C 2c 2'
_cell_length_a 3.586
_cell_length_b 12.245
_cell_length_c 12.818
_cell_angle_alpha 90.00
_cell_angle_beta 90.00
_cell_angle_gamma 90.00
loop_
_atom_site_label
_atom_site_fract_x
_atom_site_fract_y
_atom_site_fract_z
_atom_site_occupancy
Pu1 0.000 0.100 0.250 1
Th1 0.000 0.367 0.039 1
Re1 0.000 0.166 0.750 1
C1 0.000 0.000 0.000 1
C2 0.000 0.268 0.636 1
C3 0.000 0.416 0.250 1
```

- What is the formula in the third record?
  Ti4Pt2C

- Number 5 is which compound?
  Y4Pt2C